[1]
Calculated XRD peak list of Mo3S7Cl4 for copper Kα, from a crystal structure in the Materials Project, relaxed with PBE.
Intensities are scaled so that the largest is 100.

Principal peaks in the range 15° ≤ 2θ ≤ 90°, in order of rising 2θ:
2θ = 16.3°, intensity 100; 2θ = 31.7°, intensity 65; 2θ = 34.0°, intensity 72; 2θ = 39.0°, intensity 63; 2θ = 44.8°, intensity 55; 2θ = 45.5°, intensity 42

Atomic structure:
Lattice parameters (Å, degrees): 9.587 12.359 14.361 90.00 122.49 90.00
Sites, in units of the cell vectors:
Mo1 0.100 0.160 0.277
Mo2 0.100 0.340 0.777
Mo3 0.142 0.119 0.783
Mo4 0.142 0.381 0.283
Mo5 0.380 0.246 0.294
Mo6 0.380 0.254 0.794
Mo7 0.620 0.746 0.206
Mo8 0.620 0.754 0.706
Mo9 0.858 0.619 0.717
Mo10 0.858 0.881 0.217
Mo11 0.900 0.660 0.223
Mo12 0.900 0.840 0.723
S1 0.092 0.219 0.905
S2 0.092 0.281 0.405
S3 0.102 0.236 0.640
S4 0.102 0.264 0.140
S5 0.115 0.707 0.749
S6 0.115 0.793 0.249
S7 0.321 0.047 0.282
S8 0.321 0.453 0.782
S9 0.380 0.123 0.424
S10 0.380 0.377 0.924
S11 0.397 0.053 0.793
S12 0.397 0.447 0.293
S13 0.429 0.122 0.931
S14 0.429 0.378 0.431
S15 0.571 0.622 0.569
S16 0.571 0.878 0.069
S17 0.603 0.553 0.707
S18 0.603 0.947 0.207
S19 0.620 0.623 0.076
S20 0.620 0.877 0.576
S21 0.679 0.547 0.218
S22 0.679 0.953 0.718
S23 0.885 0.207 0.751
S24 0.885 0.293 0.251
S25 0.898 0.736 0.860
S26 0.898 0.764 0.360
S27 0.908 0.719 0.595
S28 0.908 0.781 0.095
Cl1 0.027 0.012 0.370
Cl2 0.027 0.488 0.870
Cl3 0.117 0.548 0.381
Cl4 0.117 0.952 0.881
Cl5 0.320 0.716 0.096
Cl6 0.320 0.784 0.596
Cl7 0.434 0.236 0.142
Cl8 0.434 0.264 0.642
Cl9 0.566 0.736 0.358
Cl10 0.566 0.764 0.858
Cl11 0.680 0.216 0.404
Cl12 0.680 0.284 0.904
Cl13 0.883 0.048 0.119
Cl14 0.883 0.452 0.619
Cl15 0.973 0.512 0.130
Cl16 0.973 0.988 0.630


[2]
Calculated XRD peak list of MoSeS2Cl5 for copper Kα, from a crystal structure in the Materials Project, relaxed with PBE.
Intensities are scaled so that the largest is 100.

Principal peaks in the range 15° ≤ 2θ ≤ 90°, in order of rising 2θ:
2θ = 18.6°, intensity 65; 2θ = 19.1°, intensity 53; 2θ = 20.3°, intensity 90; 2θ = 26.9°, intensity 57; 2θ = 38.1°, intensity 58; 2θ = 42.7°, intensity 100

Atomic structure:
Lattice parameters (Å, degrees): 10.150 10.150 14.225 113.31 113.31 57.68
Sites, in units of the cell vectors:
Mo1 0.112 0.740 0.762
Mo2 0.260 0.888 0.738
Mo3 0.740 0.112 0.262
Mo4 0.888 0.260 0.238
Se1 0.272 0.425 0.762
Se2 0.425 0.272 0.262
Se3 0.575 0.728 0.738
Se4 0.728 0.575 0.238
S1 0.039 0.839 0.609
S2 0.161 0.961 0.891
S3 0.249 0.639 0.623
S4 0.361 0.751 0.877
S5 0.639 0.249 0.123
S6 0.751 0.361 0.377
S7 0.839 0.039 0.109
S8 0.961 0.161 0.391
Cl1 0.021 0.435 0.349
Cl2 0.062 0.158 0.725
Cl3 0.120 0.660 0.909
Cl4 0.158 0.062 0.225
Cl5 0.272 0.356 0.113
Cl6 0.340 0.880 0.591
Cl7 0.356 0.272 0.613
Cl8 0.368 0.521 0.365
Cl9 0.435 0.021 0.849
Cl10 0.479 0.632 0.135
Cl11 0.521 0.368 0.865
Cl12 0.565 0.979 0.151
Cl13 0.632 0.479 0.635
Cl14 0.644 0.728 0.387
Cl15 0.660 0.120 0.409
Cl16 0.728 0.644 0.887
Cl17 0.842 0.938 0.775
Cl18 0.880 0.340 0.091
Cl19 0.938 0.842 0.275
Cl20 0.979 0.565 0.651


[3]
Calculated XRD peak list of MoSe2Cl12 for copper Kα, from a crystal structure in the Materials Project, relaxed with PBE.
Intensities are scaled so that the largest is 100.

Principal peaks in the range 15° ≤ 2θ ≤ 90°, in order of rising 2θ:
2θ = 15.8°, intensity 57; 2θ = 16.3°, intensity 100; 2θ = 25.4°, intensity 35; 2θ = 31.0°, intensity 32; 2θ = 31.2°, intensity 63; 2θ = 40.2°, intensity 45

Atomic structure:
Lattice parameters (Å, degrees): 12.945 12.802 9.003 70.39 68.68 40.93
Sites, in units of the cell vectors:
Mo1 0.000 0.000 0.000
Mo2 0.250 0.250 0.250
Se1 0.185 0.651 0.359
Se2 0.445 0.891 0.599
Se3 0.651 0.185 0.805
Se4 0.891 0.445 0.065
Cl1 0.033 0.112 0.115
Cl2 0.069 0.622 0.598
Cl3 0.112 0.033 0.740
Cl4 0.135 0.510 0.217
Cl5 0.201 0.293 0.989
Cl6 0.211 0.773 0.440
Cl7 0.261 0.733 0.049
Cl8 0.293 0.201 0.517
Cl9 0.357 0.989 0.295
Cl10 0.411 0.435 0.798
Cl11 0.435 0.411 0.357
Cl12 0.452 0.893 0.839
Cl13 0.510 0.135 0.138
Cl14 0.539 0.652 0.628
Cl15 0.622 0.069 0.711
Cl16 0.652 0.539 0.181
Cl17 0.674 0.810 0.477
Cl18 0.733 0.261 0.957
Cl19 0.773 0.211 0.576
Cl20 0.810 0.674 0.039
Cl21 0.891 0.955 0.261
Cl22 0.893 0.452 0.815
Cl23 0.955 0.891 0.893
Cl24 0.989 0.357 0.359


[4]
Calculated XRD peak list of Te3MoCl16 for copper Kα, from a crystal structure in the Materials Project, relaxed with PBE.
Intensities are scaled so that the largest is 100.

Principal peaks in the range 15° ≤ 2θ ≤ 90°, in order of rising 2θ:
2θ = 15.2°, intensity 33; 2θ = 16.5°, intensity 100; 2θ = 18.7°, intensity 41; 2θ = 19.0°, intensity 63; 2θ = 29.4°, intensity 49; 2θ = 33.5°, intensity 54

Atomic structure:
Lattice parameters (Å, degrees): 10.479 10.479 12.596 90.00 90.00 77.51
Sites, in units of the cell vectors:
Te1 0.136 0.864 0.500
Te2 0.263 0.461 0.764
Te3 0.461 0.263 0.264
Te4 0.539 0.737 0.764
Te5 0.737 0.539 0.264
Te6 0.864 0.136 0.000
Mo1 0.330 0.670 0.244
Mo2 0.670 0.330 0.744
Cl1 0.000 0.000 0.377
Cl2 0.000 0.000 0.877
Cl3 0.044 0.175 0.100
Cl4 0.108 0.596 0.877
Cl5 0.115 0.435 0.629
Cl6 0.147 0.648 0.353
Cl7 0.175 0.044 0.600
Cl8 0.204 0.796 0.120
Cl9 0.248 0.267 0.855
Cl10 0.267 0.248 0.355
Cl11 0.308 0.692 0.656
Cl12 0.313 0.474 0.146
Cl13 0.352 0.853 0.353
Cl14 0.404 0.892 0.877
Cl15 0.435 0.115 0.129
Cl16 0.474 0.313 0.646
Cl17 0.477 0.523 0.369
Cl18 0.523 0.477 0.869
Cl19 0.526 0.687 0.146
Cl20 0.565 0.885 0.629
Cl21 0.596 0.108 0.377
Cl22 0.648 0.147 0.853
Cl23 0.687 0.526 0.646
Cl24 0.692 0.308 0.156
Cl25 0.733 0.752 0.855
Cl26 0.752 0.733 0.355
Cl27 0.796 0.204 0.620
Cl28 0.825 0.956 0.100
Cl29 0.853 0.352 0.853
Cl30 0.885 0.565 0.129
Cl31 0.892 0.404 0.377
Cl32 0.956 0.825 0.600


[5]
Calculated XRD peak list of Te2MoCl12 for copper Kα, from a crystal structure in the Materials Project, relaxed with PBE.
Intensities are scaled so that the largest is 100.

Principal peaks in the range 15° ≤ 2θ ≤ 90°, in order of rising 2θ:
2θ = 17.0°, intensity 100; 2θ = 26.4°, intensity 28; 2θ = 30.5°, intensity 85; 2θ = 39.6°, intensity 57; 2θ = 47.4°, intensity 26; 2θ = 51.9°, intensity 20

Atomic structure:
Lattice parameters (Å, degrees): 14.138 14.138 14.138 48.06 48.06 48.06
Sites, in units of the cell vectors:
Te1 0.109 0.748 0.397
Te2 0.252 0.603 0.891
Te3 0.397 0.109 0.748
Te4 0.603 0.891 0.252
Te5 0.748 0.397 0.109
Te6 0.891 0.252 0.603
Mo1 0.000 0.000 0.000
Mo2 0.247 0.247 0.247
Mo3 0.753 0.753 0.753
Cl1 0.059 0.767 0.064
Cl2 0.064 0.059 0.767
Cl3 0.087 0.381 0.386
Cl4 0.107 0.116 0.408
Cl5 0.111 0.760 0.765
Cl6 0.116 0.408 0.107
Cl7 0.231 0.596 0.540
Cl8 0.233 0.936 0.941
Cl9 0.235 0.889 0.240
Cl10 0.240 0.235 0.889
Cl11 0.248 0.603 0.281
Cl12 0.281 0.248 0.603
Cl13 0.381 0.386 0.087
Cl14 0.386 0.087 0.381
Cl15 0.397 0.719 0.752
Cl16 0.404 0.460 0.769
Cl17 0.408 0.107 0.116
Cl18 0.460 0.769 0.404
Cl19 0.540 0.231 0.596
Cl20 0.592 0.893 0.884
Cl21 0.596 0.540 0.231
Cl22 0.603 0.281 0.248
Cl23 0.614 0.913 0.619
Cl24 0.619 0.614 0.913
Cl25 0.719 0.752 0.397
Cl26 0.752 0.397 0.719
Cl27 0.760 0.765 0.111
Cl28 0.765 0.111 0.760
Cl29 0.767 0.064 0.059
Cl30 0.769 0.404 0.460
Cl31 0.884 0.592 0.893
Cl32 0.889 0.240 0.235
Cl33 0.893 0.884 0.592
Cl34 0.913 0.619 0.614
Cl35 0.936 0.941 0.233
Cl36 0.941 0.233 0.936


[6]
Calculated XRD peak list of Na2Nd4NCl9O for copper Kα, from a crystal structure in the Materials Project, relaxed with PBE.
Intensities are scaled so that the largest is 100.

Principal peaks in the range 15° ≤ 2θ ≤ 90°, in order of rising 2θ:
2θ = 25.2°, intensity 100; 2θ = 32.6°, intensity 61; 2θ = 32.9°, intensity 59; 2θ = 33.7°, intensity 43; 2θ = 35.3°, intensity 46; 2θ = 38.1°, intensity 42

Atomic structure:
Lattice parameters (Å, degrees): 8.181 11.389 9.446 90.00 107.04 90.00
Sites, in units of the cell vectors:
Na1 0.228 0.000 0.429
Na2 0.229 0.482 0.430
Na3 0.771 0.982 0.570
Na4 0.772 0.500 0.571
Nd1 0.279 0.951 0.949
Nd2 0.284 0.541 0.951
Nd3 0.387 0.240 0.781
Nd4 0.404 0.239 0.171
Nd5 0.596 0.739 0.829
Nd6 0.613 0.740 0.219
Nd7 0.716 0.041 0.049
Nd8 0.721 0.451 0.051
N1 0.439 0.118 0.985
N2 0.561 0.618 0.015
Cl1 0.096 0.081 0.685
Cl2 0.100 0.401 0.689
Cl3 0.108 0.089 0.124
Cl4 0.112 0.395 0.121
Cl5 0.233 0.742 0.743
Cl6 0.253 0.742 0.139
Cl7 0.362 0.239 0.468
Cl8 0.494 0.493 0.697
Cl9 0.494 0.987 0.698
Cl10 0.506 0.487 0.302
Cl11 0.506 0.993 0.303
Cl12 0.638 0.739 0.532
Cl13 0.747 0.242 0.861
Cl14 0.767 0.242 0.257
Cl15 0.888 0.895 0.879
Cl16 0.892 0.589 0.876
Cl17 0.900 0.901 0.311
Cl18 0.904 0.581 0.315
O1 0.440 0.369 0.985
O2 0.560 0.869 0.015


Copy entry 1 word for word.
Calculated XRD peak list of Mo3S7Cl4 for copper Kα, from a crystal structure in the Materials Project, relaxed with PBE.
Intensities are scaled so that the largest is 100.

Principal peaks in the range 15° ≤ 2θ ≤ 90°, in order of rising 2θ:
2θ = 16.3°, intensity 100; 2θ = 31.7°, intensity 65; 2θ = 34.0°, intensity 72; 2θ = 39.0°, intensity 63; 2θ = 44.8°, intensity 55; 2θ = 45.5°, intensity 42

Atomic structure:
Lattice parameters (Å, degrees): 9.587 12.359 14.361 90.00 122.49 90.00
Sites, in units of the cell vectors:
Mo1 0.100 0.160 0.277
Mo2 0.100 0.340 0.777
Mo3 0.142 0.119 0.783
Mo4 0.142 0.381 0.283
Mo5 0.380 0.246 0.294
Mo6 0.380 0.254 0.794
Mo7 0.620 0.746 0.206
Mo8 0.620 0.754 0.706
Mo9 0.858 0.619 0.717
Mo10 0.858 0.881 0.217
Mo11 0.900 0.660 0.223
Mo12 0.900 0.840 0.723
S1 0.092 0.219 0.905
S2 0.092 0.281 0.405
S3 0.102 0.236 0.640
S4 0.102 0.264 0.140
S5 0.115 0.707 0.749
S6 0.115 0.793 0.249
S7 0.321 0.047 0.282
S8 0.321 0.453 0.782
S9 0.380 0.123 0.424
S10 0.380 0.377 0.924
S11 0.397 0.053 0.793
S12 0.397 0.447 0.293
S13 0.429 0.122 0.931
S14 0.429 0.378 0.431
S15 0.571 0.622 0.569
S16 0.571 0.878 0.069
S17 0.603 0.553 0.707
S18 0.603 0.947 0.207
S19 0.620 0.623 0.076
S20 0.620 0.877 0.576
S21 0.679 0.547 0.218
S22 0.679 0.953 0.718
S23 0.885 0.207 0.751
S24 0.885 0.293 0.251
S25 0.898 0.736 0.860
S26 0.898 0.764 0.360
S27 0.908 0.719 0.595
S28 0.908 0.781 0.095
Cl1 0.027 0.012 0.370
Cl2 0.027 0.488 0.870
Cl3 0.117 0.548 0.381
Cl4 0.117 0.952 0.881
Cl5 0.320 0.716 0.096
Cl6 0.320 0.784 0.596
Cl7 0.434 0.236 0.142
Cl8 0.434 0.264 0.642
Cl9 0.566 0.736 0.358
Cl10 0.566 0.764 0.858
Cl11 0.680 0.216 0.404
Cl12 0.680 0.284 0.904
Cl13 0.883 0.048 0.119
Cl14 0.883 0.452 0.619
Cl15 0.973 0.512 0.130
Cl16 0.973 0.988 0.630